This entry pairs a crystal structure of BaBSe4 with its computed powder diffraction line list. Radiation: Cu Ka. Structure: the GGA-PBE geometry in Alexandria.
Kinematic intensities with the Lorentz-polarization factor, no thermal factor.

Principal peaks in the range 2θ = 10–90°, low angle first:
2θ/deg  d (Å)  I (rel.)  (hkl)
10.55  8.383  34  0 0 1
27.23  3.275  100  0 2 1
27.37  3.258  98  2 0 0
28.84  3.095  48  1 -1 2
30.86  2.897  41  1 1 -2
37.84  2.377  37  2 2 1

Structure:
```
BaBSe4
1.0
6.5586 0.0000 0.0000
0.1919 6.7904 0.0000
0.9528 1.1008 8.3830
Ba B Se
2 2 8
Direct
0.2476 0.2275 0.0389
0.7524 0.7725 0.9611
0.0000 0.0000 0.5000
0.5000 0.5000 0.5000
0.2332 0.7118 0.0988
0.2571 0.8256 0.8183
0.2592 0.4760 0.6277
0.2625 0.0722 0.4317
0.7375 0.9278 0.5683
0.7408 0.5240 0.3723
0.7429 0.1744 0.1817
0.7668 0.2882 0.9012
```